Entry 1:
Computed powder diffractogram
Compound: SmCuSeO
Radiation: Cu Ka
Structure: a structure optimized by DFT (PBE)
Intensities are scaled so that the largest is 100.

Crystal structure
```
8
Lattice="3.970 0.000 0.000 0.000 3.970 0.000 0.000 0.000 8.787" Properties=species:S:1:pos:R:3 pbc="T T T"
Sm 0.993 0.993 1.177
Sm 2.978 2.978 7.610
Cu 0.993 2.978 4.393
Cu 2.978 0.993 4.393
Se 0.993 0.993 5.950
Se 2.978 2.978 2.837
O 0.993 2.978 0.000
O 2.978 0.993 0.000
```

Most intense lines, 15 to 90 degrees two-theta, sorted by position:
d/Å	2θ/deg	I/Imax
2.946	30.34	100
2.807	31.88	20
2.674	33.51	23
2.366	38.04	28
2.357	38.18	13
1.985	45.70	35
1.730	52.93	29
1.646	55.85	35
1.404	66.63	11
1.267	74.96	9

Entry 2:
Computed powder diffractogram
Compound: SrCuSe4O12
Radiation: Cu Ka
Structure: a structure optimized by DFT (PBE)
Intensities are scaled so that the largest is 100.

Crystal structure
```
18
Lattice="7.477 0.000 0.000 0.000 3.735 4.306 0.000 -3.735 4.306" Properties=species:S:1:pos:R:3 pbc="T T T"
Sr 0.000 0.000 0.000
Cu 3.738 0.000 3.929
Se 1.929 -1.819 6.316
Se 1.929 1.819 6.316
Se 5.548 -1.819 6.316
Se 5.548 1.819 6.316
O 0.000 -1.609 5.886
O 0.000 1.609 5.886
O 1.493 0.000 2.116
O 1.930 -2.317 3.606
O 1.930 2.317 3.606
O 2.451 0.000 5.366
O 3.738 -1.291 1.981
O 3.738 1.291 1.981
O 5.026 0.000 5.366
O 5.547 -2.317 3.606
O 5.547 2.317 3.606
O 5.984 0.000 2.116
```

Most intense lines, 15 to 90 degrees two-theta, sorted by position:
d/Å	2θ/deg	I/Imax
4.504	19.71	49
4.306	20.63	22
3.736	23.81	26
2.822	31.71	100
2.642	33.93	43
2.279	39.55	19
2.153	41.96	17
1.868	48.74	29
1.669	55.00	26
1.558	59.32	41

Entry 3:
Computed powder diffractogram
Compound: Sr2CuSeO2
Radiation: Cu Ka
Structure: a structure optimized by DFT (PBE)
Intensities are scaled so that the largest is 100.

Crystal structure
```
6
Lattice="3.951 0.000 0.000 0.000 3.951 0.000 0.000 0.000 6.987" Properties=species:S:1:pos:R:3 pbc="T T T"
Sr 0.000 0.000 1.694
Sr 0.000 0.000 5.292
Cu 1.976 1.976 0.000
Se 1.976 1.976 3.493
O 0.000 1.976 0.000
O 1.976 0.000 0.000
```

Most intense lines, 15 to 90 degrees two-theta, sorted by position:
d/Å	2θ/deg	I/Imax
2.794	32.03	48
2.617	34.26	100
1.976	45.93	26
1.747	52.38	8
1.577	58.54	41
1.481	62.73	14
1.397	66.98	8
1.309	72.19	12
1.250	76.19	8
1.232	77.44	9

Entry 4:
Computed powder diffractogram
Compound: Tl2Cu3Se6O18
Radiation: Cu Ka
Structure: a structure optimized by DFT (PBE)
Intensities are scaled so that the largest is 100.

Crystal structure
```
29
Lattice="4.852 0.000 0.000 1.795 9.664 0.000 1.398 3.654 9.432" Properties=species:S:1:pos:R:3 pbc="T T T"
Tl 1.039 2.957 3.038
Tl 7.007 10.361 6.394
Cu 4.445 12.713 8.616
Cu 3.324 4.832 0.000
Cu 3.601 0.605 0.816
Se 2.460 6.263 9.075
Se 2.904 9.456 3.029
Se 3.254 5.380 3.299
Se 4.792 7.938 6.134
Se 5.141 3.862 6.404
Se 5.585 7.055 0.358
O 1.905 9.152 1.651
O 1.542 5.130 3.420
O 1.306 2.857 5.441
O 3.316 11.076 8.540
O 1.898 3.703 0.723
O 2.191 1.076 2.538
O 3.536 4.864 9.033
O 4.320 9.601 5.994
O 3.526 5.819 1.646
O 4.519 7.500 7.787
O 3.725 3.717 3.439
O 4.510 8.454 0.400
O 5.855 12.242 6.894
O 6.147 9.615 8.710
O 4.729 2.242 0.893
O 6.740 10.461 3.992
O 6.503 8.188 6.012
O 6.140 4.166 7.781
```

Most intense lines, 15 to 90 degrees two-theta, sorted by position:
d/Å	2θ/deg	I/Imax
4.506	19.70	49
4.381	20.27	40
3.979	22.34	54
3.669	24.26	43
3.231	27.61	55
3.144	28.39	100
3.060	29.18	75
2.918	30.64	83
2.717	32.96	67
2.413	37.27	37

Entry 5:
Computed powder diffractogram
Compound: ZnCuSe2O6
Radiation: Cu Ka
Structure: a structure optimized by DFT (PBE)
Intensities are scaled so that the largest is 100.

Crystal structure
```
20
Lattice="5.290 0.000 0.000 0.000 5.980 0.000 -5.114 0.000 7.611" Properties=species:S:1:pos:R:3 pbc="T T T"
Zn 0.000 0.000 0.000
Zn -2.557 2.990 3.806
Cu 0.088 0.000 3.806
Cu 2.645 2.990 0.000
Se -2.538 0.212 5.693
Se 0.019 2.778 1.887
Se 0.157 3.202 5.724
Se 2.714 5.768 1.918
O -4.523 4.172 7.035
O -1.966 4.798 3.229
O -3.094 1.183 7.047
O -0.537 1.807 3.241
O -1.588 3.446 5.746
O 0.969 5.524 1.940
O -0.793 0.456 5.671
O 1.764 2.534 1.866
O 0.713 4.173 4.370
O 3.269 4.797 0.564
O 2.142 1.182 4.382
O 4.698 1.808 0.577
```

Most intense lines, 15 to 90 degrees two-theta, sorted by position:
d/Å	2θ/deg	I/Imax
2.990	29.88	51
2.768	32.34	100
2.721	32.92	93
2.644	33.90	49
1.981	45.81	35
1.680	54.62	23
1.670	55.00	23
1.605	57.40	24
1.558	59.31	23
1.533	60.40	22

Entry 6:
Computed powder diffractogram
Compound: Cu5Si4O14
Radiation: Cu Ka
Structure: a structure optimized by DFT (PBE)
Intensities are scaled so that the largest is 100.

Crystal structure
```
23
Lattice="5.718 0.000 0.000 2.578 7.197 0.000 0.243 3.303 6.981" Properties=species:S:1:pos:R:3 pbc="T T T"
Cu 0.000 0.000 0.000
Cu 2.251 7.056 5.692
Cu 3.350 5.055 1.955
Cu 5.190 5.445 5.026
Cu 6.288 3.444 1.289
Si 1.819 3.471 4.095
Si 4.964 8.311 5.966
Si 3.575 2.189 1.015
Si 6.721 7.029 2.886
O 2.094 6.474 1.736
O 1.103 2.708 2.863
O 2.190 2.803 0.368
O 2.837 4.697 3.706
O 3.767 5.665 0.174
O 4.150 7.024 5.279
O 5.244 9.530 4.944
O 3.295 0.969 2.037
O 4.389 3.476 1.702
O 4.773 4.835 6.807
O 5.703 5.803 3.275
O 6.350 7.696 6.613
O 7.436 7.792 4.118
O 6.446 4.025 5.245
```

Most intense lines, 15 to 90 degrees two-theta, sorted by position:
d/Å	2θ/deg	I/Imax
4.632	19.16	38
3.673	24.23	18
3.577	24.89	58
3.032	29.46	100
3.014	29.64	45
2.691	33.29	18
2.641	33.94	47
2.611	34.35	34
2.592	34.61	58
2.395	37.55	20